No. 1
This entry pairs a crystal structure of CaPbI4 with its theoretical powder X-ray diffraction pattern. Radiation: a wavelength of 1.5418 Å. Structure: a cell relaxed with GGA-PBE.

Unit cell a=7.371 b=4.595 c=8.023 alpha=90.00 beta=90.27 gamma=90.00
Space group P2/m (No. 10)
Symmetry-distinct sites (fractional):
Ca 0.000 0.000 0.000 [1 per cell]
Pb 0.000 0.500 0.500 [1 per cell]
I 0.241 0.500 0.842 [2 per cell]
I 0.248 0.000 0.323 [2 per cell]

Peak list (10 most intense, 10 to 90 degrees two-theta, sorted by position)
hkl 1 0 0, 12.01°, intensity 27; hkl 1 1 -1, 25.36°, intensity 100; hkl 2 0 2, 33.09°, intensity 44; hkl 0 1 3, 38.97°, intensity 25; hkl 0 2 0, 39.21°, intensity 12; hkl 3 1 1, 43.29°, intensity 18; hkl 1 2 2, 47.25°, intensity 12; hkl 3 0 4, 59.65°, intensity 9; hkl 1 2 -4, 62.70°, intensity 9; hkl 4 2 0, 64.85°, intensity 11

---

No. 2
This entry pairs a crystal structure of CaPbI6 with its theoretical powder X-ray diffraction pattern. Radiation: a wavelength of 1.5418 Å. Structure: a cell relaxed with GGA-PBE.

Unit cell a=21.817 b=24.601 c=13.001 alpha=90.00 beta=90.00 gamma=90.00
Space group Fdd2 (No. 43)
Symmetry-distinct sites (fractional):
Ca 0.038 0.411 0.000 [16 per cell]
Pb 0.118 0.132 0.370 [16 per cell]
I 0.011 0.409 0.767 [16 per cell]
I 0.037 0.200 0.505 [16 per cell]
I 0.085 0.124 0.820 [16 per cell]
I 0.086 0.033 0.538 [16 per cell]
I 0.104 0.476 0.464 [16 per cell]
I 0.118 0.172 0.019 [16 per cell]

Peak list (10 most intense, 10 to 90 degrees two-theta, sorted by position)
hkl 1 3 1, 13.40°, intensity 48; hkl 0 4 0, 14.40°, intensity 52; hkl 4 0 0, 16.25°, intensity 59; hkl 2 4 0, 16.55°, intensity 47; hkl 2 2 2, 17.44°, intensity 84; hkl 2 4 2, 21.49°, intensity 44; hkl 5 1 1, 21.79°, intensity 46; hkl 0 6 2, 25.70°, intensity 45; hkl 2 6 2, 26.98°, intensity 100; hkl 3 5 3, 30.11°, intensity 54

---

No. 3
This entry pairs a crystal structure of CaPbI4 with its theoretical powder X-ray diffraction pattern. Radiation: a wavelength of 1.5418 Å. Structure: a cell relaxed with GGA-PBE.

Unit cell a=10.658 b=10.750 c=4.769 alpha=90.00 beta=90.00 gamma=90.00
Space group Cmmm (No. 65)
Symmetry-distinct sites (fractional):
Ca 0.000 0.000 0.000 [2 per cell]
Pb 0.000 0.500 0.500 [2 per cell]
I 0.000 0.296 0.000 [4 per cell]
I 0.193 0.000 0.500 [4 per cell]

Peak list (10 most intense, 10 to 90 degrees two-theta, sorted by position)
hkl 1 1 0, 11.69°, intensity 22; hkl 0 2 0, 16.49°, intensity 23; hkl 2 0 0, 16.64°, intensity 26; hkl 0 2 1, 24.98°, intensity 100; hkl 3 1 0, 26.42°, intensity 38; hkl 1 3 1, 32.36°, intensity 27; hkl 3 1 1, 32.51°, intensity 34; hkl 0 0 2, 37.72°, intensity 21; hkl 3 3 1, 40.45°, intensity 52; hkl 3 3 3, 69.96°, intensity 19